Theoretical powder diffraction line list
Compound: TmGe3
Radiation: Cu Kα X-rays
Structure: a structure optimized by DFT (PBE)
Peak positions follow from Bragg's law for the DFT cell and can differ from measured ones.

Structure:
```
data_TmGe3
_cell_length_a 4.0247
_cell_length_b 20.6621
_cell_length_c 3.9359
_cell_angle_alpha 90.00
_cell_angle_beta 90.00
_cell_angle_gamma 90.00
_symmetry_space_group_name_H-M 'C m c m'
_symmetry_Int_Tables_number 63
_symmetry_space_group_name_Hall '-C 2c 2'
loop_
_atom_site_label
_atom_site_type_symbol
_atom_site_fract_x
_atom_site_fract_y
_atom_site_fract_z
_atom_site_occupancy
Tm1 Tm 0.0000 0.0818 0.2500 1
Ge1 Ge 0.0000 0.1906 0.7500 1
Ge2 Ge 0.0000 0.3118 0.7500 1
Ge3 Ge 0.0000 0.4596 0.2500 1
```

Largest 12 diffraction maxima, low angle first, 10 to 90 degrees two-theta:
| index | 2theta | I (rel.) |
| --- | --- | --- |
| 0 2 1 | 24.20 | 18 |
| 1 5 0 | 31.02 | 22 |
| 1 3 1 | 34.43 | 100 |
| 0 8 0 | 34.73 | 24 |
| 1 5 1 | 38.71 | 41 |
| 0 8 1 | 41.83 | 14 |
| 1 7 1 | 44.48 | 11 |
| 2 0 0 | 45.05 | 23 |
| 0 0 2 | 46.13 | 21 |
| 2 8 0 | 58.10 | 12 |
| 2 0 2 | 66.45 | 14 |
| 1 3 3 | 77.82 | 12 |

Theoretical powder diffraction line list
Compound: TmGe2
Radiation: Cu Kα X-rays
Structure: a structure optimized by DFT (PBE)
Peak positions follow from Bragg's law for the DFT cell and can differ from measured ones.

Structure:
```
data_TmGe2
_cell_length_a 4.0450
_cell_length_b 15.7746
_cell_length_c 3.9002
_cell_angle_alpha 90.00
_cell_angle_beta 90.00
_cell_angle_gamma 90.00
_symmetry_space_group_name_H-M 'C m c m'
_symmetry_Int_Tables_number 63
_symmetry_space_group_name_Hall '-C 2c 2'
loop_
_atom_site_label
_atom_site_type_symbol
_atom_site_fract_x
_atom_site_fract_y
_atom_site_fract_z
_atom_site_occupancy
Tm1 Tm 0.0000 0.1029 0.2500 1
Ge1 Ge 0.0000 0.2536 0.7500 1
Ge2 Ge 0.0000 0.4459 0.2500 1
```

Largest 12 diffraction maxima, low angle first, 10 to 90 degrees two-theta:
| index | 2theta | I (rel.) |
| --- | --- | --- |
| 0 2 1 | 25.48 | 19 |
| 1 3 0 | 27.83 | 10 |
| 0 6 0 | 34.10 | 18 |
| 1 5 0 | 36.11 | 16 |
| 1 3 1 | 36.27 | 100 |
| 0 6 1 | 41.42 | 11 |
| 2 0 0 | 44.81 | 16 |
| 0 0 2 | 46.57 | 14 |
| 0 8 1 | 51.97 | 8 |
| 2 0 2 | 66.62 | 10 |
| 3 3 1 | 77.00 | 18 |
| 1 3 3 | 79.57 | 10 |

Theoretical powder diffraction line list
Compound: Tm5Ge3
Radiation: Cu Kα X-rays
Structure: a structure optimized by DFT (PBE)
Peak positions follow from Bragg's law for the DFT cell and can differ from measured ones.

Structure:
```
data_Tm5Ge3
_cell_length_a 8.3775
_cell_length_b 8.3775
_cell_length_c 6.2835
_cell_angle_alpha 90.00
_cell_angle_beta 90.00
_cell_angle_gamma 120.00
_symmetry_space_group_name_H-M 'P 63/m c m'
_symmetry_Int_Tables_number 193
_symmetry_space_group_name_Hall '-P 6c 2'
loop_
_atom_site_label
_atom_site_type_symbol
_atom_site_fract_x
_atom_site_fract_y
_atom_site_fract_z
_atom_site_occupancy
Tm1 Tm 0.0000 0.2403 0.2500 1
Tm2 Tm 0.3333 0.6667 0.0000 1
Ge1 Ge 0.0000 0.3947 0.7500 1
```

Largest 12 diffraction maxima, low angle first, 10 to 90 degrees two-theta:
| index | 2theta | I (rel.) |
| --- | --- | --- |
| 2 0 0 | 24.54 | 9 |
| 1 0 2 | 31.02 | 19 |
| 2 1 0 | 32.66 | 23 |
| 1 1 2 | 35.73 | 100 |
| 3 0 0 | 37.18 | 20 |
| 2 2 2 | 52.51 | 13 |
| 2 1 3 | 55.18 | 17 |
| 4 1 0 | 58.28 | 9 |
| 0 0 4 | 58.78 | 18 |
| 3 3 1 | 68.89 | 10 |
| 5 0 2 | 71.64 | 14 |
| 2 1 5 | 84.88 | 8 |

Theoretical powder diffraction line list
Compound: U5Ge4
Radiation: Cu Kα X-rays
Structure: a structure optimized by DFT (PBE)
Peak positions follow from Bragg's law for the DFT cell and can differ from measured ones.

Structure:
```
data_U5Ge4
_cell_length_a 8.5809
_cell_length_b 8.5809
_cell_length_c 5.8186
_cell_angle_alpha 90.00
_cell_angle_beta 90.00
_cell_angle_gamma 120.00
_symmetry_space_group_name_H-M 'P 63/m c m'
_symmetry_Int_Tables_number 193
_symmetry_space_group_name_Hall '-P 6c 2'
loop_
_atom_site_label
_atom_site_type_symbol
_atom_site_fract_x
_atom_site_fract_y
_atom_site_fract_z
_atom_site_occupancy
U1 U 0.0000 0.2928 0.2500 1
U2 U 0.3333 0.6667 0.0000 1
Ge1 Ge 0.0000 0.0000 0.0000 1
Ge2 Ge 0.0000 0.3700 0.7500 1
```

Largest 12 diffraction maxima, low angle first, 10 to 90 degrees two-theta:
| index | 2theta | I (rel.) |
| --- | --- | --- |
| 2 0 0 | 23.95 | 10 |
| 1 1 1 | 25.80 | 38 |
| 2 1 0 | 31.86 | 10 |
| 2 1 1 | 35.49 | 27 |
| 3 0 0 | 36.27 | 97 |
| 1 1 2 | 37.35 | 100 |
| 2 2 2 | 53.04 | 33 |
| 3 3 0 | 65.24 | 11 |
| 4 1 2 | 65.95 | 27 |
| 5 1 1 | 72.68 | 11 |
| 3 0 4 | 75.84 | 24 |
| 5 2 2 | 88.85 | 12 |

Theoretical powder diffraction line list
Compound: U2Ge3
Radiation: Cu Kα X-rays
Structure: a structure optimized by DFT (PBE)
Peak positions follow from Bragg's law for the DFT cell and can differ from measured ones.

Structure:
```
data_U2Ge3
_cell_length_a 4.5143
_cell_length_b 4.5143
_cell_length_c 6.1125
_cell_angle_alpha 90.00
_cell_angle_beta 90.00
_cell_angle_gamma 120.00
_symmetry_space_group_name_H-M 'P -6 m 2'
_symmetry_Int_Tables_number 187
_symmetry_space_group_name_Hall 'P -6 2'
loop_
_atom_site_label
_atom_site_type_symbol
_atom_site_fract_x
_atom_site_fract_y
_atom_site_fract_z
_atom_site_occupancy
U1 U 0.0000 0.0000 0.2192 1
Ge1 Ge 0.3333 0.6667 0.5000 1
Ge2 Ge 0.6667 0.3333 0.0000 1
Ge3 Ge 0.6667 0.3333 0.5000 1
```

Largest 12 diffraction maxima, low angle first, 10 to 90 degrees two-theta:
| index | 2theta | I (rel.) |
| --- | --- | --- |
| 1 0 0 | 22.75 | 71 |
| 1 0 1 | 27.07 | 16 |
| 1 0 2 | 37.35 | 100 |
| 1 1 0 | 39.94 | 67 |
| 2 0 0 | 46.45 | 12 |
| 2 0 2 | 55.83 | 32 |
| 1 1 3 | 61.29 | 9 |
| 2 1 0 | 62.89 | 10 |
| 2 1 2 | 70.83 | 32 |
| 3 0 0 | 72.54 | 12 |
| 1 1 4 | 75.07 | 14 |
| 2 2 0 | 86.17 | 8 |

Theoretical powder diffraction line list
Compound: UGe3
Radiation: Cu Kα X-rays
Structure: a structure optimized by DFT (PBE)
Peak positions follow from Bragg's law for the DFT cell and can differ from measured ones.

Structure:
```
data_UGe3
_cell_length_a 4.2056
_cell_length_b 4.2056
_cell_length_c 4.2056
_cell_angle_alpha 90.00
_cell_angle_beta 90.00
_cell_angle_gamma 90.00
_symmetry_space_group_name_H-M 'P m -3 m'
_symmetry_Int_Tables_number 221
_symmetry_space_group_name_Hall '-P 4 2 3'
loop_
_atom_site_label
_atom_site_type_symbol
_atom_site_fract_x
_atom_site_fract_y
_atom_site_fract_z
_atom_site_occupancy
U1 U 0.0000 0.0000 0.0000 1
Ge1 Ge 0.0000 0.5000 0.5000 1
```

Largest 12 diffraction maxima, low angle first, 10 to 90 degrees two-theta:
| index | 2theta | I (rel.) |
| --- | --- | --- |
| 1 0 0 | 21.12 | 33 |
| 1 1 0 | 30.05 | 29 |
| 1 1 1 | 37.02 | 100 |
| 2 0 0 | 43.01 | 49 |
| 2 1 0 | 48.40 | 16 |
| 2 1 1 | 53.36 | 12 |
| 2 2 0 | 62.46 | 33 |
| 3 0 0 | 66.72 | 8 |
| 3 1 0 | 70.85 | 6 |
| 3 1 1 | 74.88 | 39 |
| 2 2 2 | 78.84 | 11 |
| 3 2 1 | 86.61 | 7 |

Theoretical powder diffraction line list
Compound: U3Ge
Radiation: Cu Kα X-rays
Structure: a structure optimized by DFT (PBE)
Peak positions follow from Bragg's law for the DFT cell and can differ from measured ones.

Structure:
```
data_U3Ge
_cell_length_a 4.2967
_cell_length_b 4.2967
_cell_length_c 4.2967
_cell_angle_alpha 90.00
_cell_angle_beta 90.00
_cell_angle_gamma 90.00
_symmetry_space_group_name_H-M 'P m -3 m'
_symmetry_Int_Tables_number 221
_symmetry_space_group_name_Hall '-P 4 2 3'
loop_
_atom_site_label
_atom_site_type_symbol
_atom_site_fract_x
_atom_site_fract_y
_atom_site_fract_z
_atom_site_occupancy
U1 U 0.0000 0.0000 0.5000 1
Ge1 Ge 0.5000 0.5000 0.5000 1
```

Largest 12 diffraction maxima, low angle first, 10 to 90 degrees two-theta:
| index | 2theta | I (rel.) |
| --- | --- | --- |
| 1 0 0 | 20.67 | 12 |
| 1 1 0 | 29.40 | 10 |
| 1 1 1 | 36.21 | 100 |
| 2 0 0 | 42.06 | 50 |
| 2 1 0 | 47.31 | 6 |
| 2 1 1 | 52.14 | 4 |
| 2 2 0 | 60.99 | 34 |
| 3 0 0 | 65.13 | 3 |
| 3 1 0 | 69.14 | 2 |
| 3 1 1 | 73.04 | 42 |
| 2 2 2 | 76.86 | 12 |
| 3 2 1 | 84.34 | 3 |

Theoretical powder diffraction line list
Compound: U3Ge
Radiation: Cu Kα X-rays
Structure: a structure optimized by DFT (PBE)
Peak positions follow from Bragg's law for the DFT cell and can differ from measured ones.

Structure:
```
data_U3Ge
_cell_length_a 4.3240
_cell_length_b 4.3240
_cell_length_c 8.4130
_cell_angle_alpha 90.00
_cell_angle_beta 90.00
_cell_angle_gamma 90.00
_symmetry_space_group_name_H-M 'I 4/m m m'
_symmetry_Int_Tables_number 139
_symmetry_space_group_name_Hall '-I 4 2'
loop_
_atom_site_label
_atom_site_type_symbol
_atom_site_fract_x
_atom_site_fract_y
_atom_site_fract_z
_atom_site_occupancy
U1 U 0.0000 0.0000 0.0000 1
U2 U 0.0000 0.5000 0.2500 1
Ge1 Ge 0.0000 0.0000 0.5000 1
```

Largest 12 diffraction maxima, low angle first, 10 to 90 degrees two-theta:
| index | 2theta | I (rel.) |
| --- | --- | --- |
| 0 0 2 | 21.12 | 4 |
| 1 0 1 | 23.13 | 12 |
| 1 1 2 | 36.32 | 100 |
| 1 0 3 | 38.25 | 4 |
| 2 0 0 | 41.78 | 34 |
| 0 0 4 | 43.00 | 16 |
| 2 1 1 | 48.29 | 4 |
| 2 2 0 | 60.57 | 12 |
| 2 0 4 | 61.51 | 22 |
| 3 1 2 | 72.72 | 28 |
| 1 1 6 | 74.44 | 13 |
| 2 2 4 | 77.13 | 12 |

Theoretical powder diffraction line list
Compound: Zr3U2Ge4
Radiation: Cu Kα X-rays
Structure: a structure optimized by DFT (PBE)
Peak positions follow from Bragg's law for the DFT cell and can differ from measured ones.

Structure:
```
data_Zr3U2Ge4
_cell_length_a 7.4137
_cell_length_b 7.4321
_cell_length_c 7.2327
_cell_angle_alpha 90.00
_cell_angle_beta 109.48
_cell_angle_gamma 90.00
_symmetry_space_group_name_H-M 'P 1 21/c 1'
_symmetry_Int_Tables_number 14
_symmetry_space_group_name_Hall '-P 2ybc'
loop_
_atom_site_label
_atom_site_type_symbol
_atom_site_fract_x
_atom_site_fract_y
_atom_site_fract_z
_atom_site_occupancy
Zr1 Zr 0.0000 0.0000 0.0000 1
Zr2 Zr 0.2520 0.1709 0.7505 1
U1 U 0.3169 0.6691 0.9382 1
Ge1 Ge 0.0105 0.6339 0.1363 1
Ge2 Ge 0.4153 0.0372 0.1442 1
```

Largest 12 diffraction maxima, low angle first, 10 to 90 degrees two-theta:
| index | 2theta | I (rel.) |
| --- | --- | --- |
| 1 1 0 | 17.42 | 36 |
| 2 1 0 | 28.25 | 40 |
| 1 2 1 | 32.07 | 61 |
| 2 1 -2 | 32.28 | 65 |
| 2 2 -1 | 34.48 | 100 |
| 1 2 -2 | 34.86 | 35 |
| 1 1 2 | 35.05 | 95 |
| 2 2 0 | 35.25 | 33 |
| 3 0 0 | 38.65 | 37 |
| 0 3 1 | 38.67 | 73 |
| 3 0 -2 | 38.87 | 32 |
| 1 1 -3 | 39.29 | 60 |